# 1
Diffraction record for Zn4O3. The X-ray diffraction stick pattern is computed, not measured: it uses a crystal structure in Alexandria, relaxed with GGA-PBE and CuKα.

```
Zn4O3
1.0
5.750 0.000 0.000
0.000 5.750 0.000
0.000 0.000 5.750
Zn O
8 6
Cartesian
0.000 0.000 0.000
0.000 1.437 2.875
0.000 4.312 2.875
1.437 2.875 0.000
2.875 0.000 1.437
2.875 0.000 4.312
2.875 2.875 2.875
4.312 2.875 0.000
0.000 2.875 1.437
0.000 2.875 4.312
1.437 0.000 2.875
2.875 1.437 0.000
2.875 4.312 0.000
4.312 0.000 2.875
```

Main lines, sorted by position (2θ = 15–90°):
2θ/deg	I/Imax
31.11	45
34.89	62
38.35	100
55.35	15
57.82	15
60.22	48
64.87	21
73.69	13
75.82	13
77.94	11



# 2
Diffraction record for PmOsRu. The X-ray diffraction stick pattern is computed, not measured: it uses a crystal structure in Alexandria, relaxed with GGA-PBE and CuKα.

```
PmOsRu
1.0
-2.612 2.787 3.858
2.612 -2.787 3.858
2.612 2.787 -3.858
Pm Os Ru
2 2 2
Cartesian
0.000 1.394 0.955
2.612 1.394 2.903
1.306 1.394 -1.929
1.306 -1.394 1.929
2.612 0.000 0.000
0.000 0.000 3.858
```

Main lines, sorted by position (2θ = 15–90°):
2θ/deg	I/Imax
19.65	16
32.11	19
33.04	29
38.42	38
38.55	38
39.04	18
39.88	100
41.76	30
62.49	27
69.31	30